Diffraction record for Ac2SnBi. The powder XRD pattern is calculated, not measured: it uses DFT lattice parameters and positions (PBE) and Cu Kα (weighted mean of Kα1 and Kα2).

Most intense lines, 2θ = 10–80°, by intensity:
- (1 1 1), 26.00°, rel. 100
- (1 1 -3), 36.43°, rel. 28
- (3 1 -1), 37.76°, rel. 26
- (2 2 2), 53.48°, rel. 14
- (2 2 -2), 46.52°, rel. 14
- (2 0 2), 36.32°, rel. 14
- (0 2 4), 59.48°, rel. 14
- (4 2 0), 61.32°, rel. 13
- (0 2 0), 37.88°, rel. 13
- (4 2 -4), 67.43°, rel. 10
- (0 0 4), 44.06°, rel. 9
- (1 1 5), 64.55°, rel. 8

Cell and atoms:
```
data_Ac2SnBi
_chemical_formula_sum 'Ac4 Sn2 Bi2'
_cell_length_a 8.260
_cell_length_b 4.751
_cell_length_c 8.662
_cell_angle_alpha 90.00
_cell_angle_beta 108.38
_cell_angle_gamma 90.00
_symmetry_space_group_name_H-M 'C 1 2/m 1'
_symmetry_Int_Tables_number 12
loop_
_symmetry_equiv_pos_as_xyz
'x,y,z'
'-x,-y,-z'
'-x,y,-z'
'x,-y,z'
'x+1/2,y+1/2,z'
'-x+1/2,-y+1/2,-z'
'-x+1/2,y+1/2,-z'
'x+1/2,-y+1/2,z'
loop_
_atom_site_label
_atom_site_type_symbol
_atom_site_fract_x
_atom_site_fract_y
_atom_site_fract_z
Ac1 Ac 0.250 0.000 0.250
Sn1 Sn 0.000 0.000 0.500
Bi1 Bi 0.000 0.500 0.000
```